The following is a computed X-ray diffraction stick pattern of CdNiAg2F6. It was derived from a structure optimized by DFT (GGA+U), using Cu Ka.
Lines closer than 0.1° are merged.

Atomic structure:
abc: 5.7740 5.9115 10.0484
angles: 90.00 124.64 90.00
Sites, in units of the cell vectors:
Cd 0.0000 0.0000 0.0000
Cd 0.0000 0.5000 0.5000
Ni 0.5000 0.0000 0.5000
Ni 0.5000 0.5000 0.0000
Ag 0.2645 0.0553 0.7494
Ag 0.2645 0.4447 0.2494
Ag 0.7355 0.5553 0.7506
Ag 0.7355 0.9447 0.2506
F 0.1590 0.0332 0.2657
F 0.1590 0.4668 0.7657
F 0.2753 0.6943 0.0556
F 0.2753 0.8057 0.5556
F 0.3681 0.2194 0.0565
F 0.3681 0.2806 0.5565
F 0.6319 0.7194 0.4435
F 0.6319 0.7806 0.9435
F 0.7247 0.1943 0.4444
F 0.7247 0.3057 0.9444
F 0.8410 0.5332 0.2343
F 0.8410 0.9668 0.7343

Peak list (6 most intense, 5° ≤ 2θ ≤ 70°, by angle)
d = 2.956 Å, I 41.9
d = 2.930 Å, I 100.0
d = 2.914 Å, I 99.2
d = 2.887 Å, I 44.9
d = 2.066 Å, I 76.8
d = 1.669 Å, I 24.4